Structure and simulated powder diffraction line list of K2TiAlS5 (a crystal structure in Alexandria, relaxed with GGA-PBE; Cu Kα (weighted mean of Kα1 and Kα2)).
Kinematic intensities with the Lorentz-polarization factor, no thermal factor.

Structure:
```
18
Lattice="1.8039 -9.4097 0.0000 1.8039 9.4097 0.0000 0.0000 0.0000 13.5407" Properties=species:S:1:pos:R:3 pbc="T T T"
K 1.8039 7.1713 6.7704
K 1.8039 6.8698 1.6691
K 1.8039 -6.8698 8.4394
K 1.8039 -7.1713 0.0000
Ti 1.8039 5.3081 11.2735
Ti 1.8039 -5.3081 4.5031
Al 1.8039 1.4120 3.4325
Al 1.8039 -1.4120 10.2029
S 1.8039 8.1327 11.5804
S 1.8039 3.9145 6.0893
S 1.8039 3.6101 2.7698
S 1.8039 3.1088 11.0738
S 1.8039 0.1149 1.6405
S 1.8039 -0.1149 8.4109
S 1.8039 -3.1088 4.3034
S 1.8039 -3.6101 9.5402
S 1.8039 -3.9145 12.8597
S 1.8039 -8.1327 4.8100
```

The 10 most intense peaks (2θ = 15–90°), in order of rising 2θ:
2θ/deg, I (rel.)
16.13, 36
21.84, 18
28.43, 18
29.23, 48
31.49, 34
32.12, 100
34.45, 36
40.60, 15
50.17, 21
50.60, 20